Entry 1:
LaGa4Co9: calculated X-ray powder pattern (CuKα), based on the PBE geometry in Alexandria.

Main lines, by angle (2θ from 10° to 90°):
(1 1 4), 34.4°, d 2.610, I 38; (2 2 2), 35.2°, d 2.549, I 28; (3 1 0), 35.5°, d 2.529, I 27; (2 0 4), 38.0°, d 2.370, I 62; (3 1 2), 38.8°, d 2.324, I 100; (2 1 5), 46.2°, d 1.966, I 50; (3 2 3), 47.1°, d 1.931, I 65; (4 1 1), 47.5°, d 1.915, I 77; (4 0 4), 55.6°, d 1.654, I 20; (6 2 4), 83.1°, d 1.162, I 19

Structural model:
a b c (Å): 7.9983 7.9983 11.7659
angles (deg): 90.00 90.00 90.00
Space group I4/mcm (No. 140)
Unique sites:
La  0.0000  0.0000  0.2500
Ga  0.1798  0.3202  0.1254
Co  0.0000  0.5000  0.0000
Co  0.0613  0.1987  0.5000
Co  0.1130  0.3870  0.3256

---

Entry 2:
La12GaCo5: calculated X-ray powder pattern (CuKα), based on the PBE geometry in Alexandria.

Main lines, by angle (2θ from 10° to 90°):
(1 0 3), 27.6°, d 3.233, I 18; (0 3 1), 28.1°, d 3.175, I 25; (3 1 0), 29.1°, d 3.071, I 38; (2 2 2), 31.0°, d 2.882, I 45; (1 3 2), 33.3°, d 2.692, I 100; (2 3 1), 33.8°, d 2.654, I 19; (3 2 1), 34.2°, d 2.622, I 32; (3 5 0), 53.9°, d 1.701, I 15; (2 5 3), 56.5°, d 1.628, I 17; (5 3 2), 57.9°, d 1.592, I 23

Structural model:
a b c (Å): 9.6745 10.0121 10.2901
angles (deg): 90.00 90.00 90.00
Space group Immm (No. 71)
Unique sites:
La  0.0000  0.1848  0.1987
La  0.1888  0.5000  0.1689
La  0.1900  0.3232  0.5000
Ga  0.0000  0.0000  0.5000
Co  0.0000  0.0000  0.0000
Co  0.0000  0.3524  0.0000
Co  0.0000  0.5000  0.3665

---

Entry 3:
La6Ga3Co11: calculated X-ray powder pattern (CuKα), based on the PBE geometry in Alexandria.

Main lines, by angle (2θ from 10° to 90°):
(2 1 3), 27.2°, d 3.280, I 79; (2 2 0), 31.1°, d 2.874, I 29; (2 1 5), 31.5°, d 2.844, I 87; (2 0 6), 32.2°, d 2.777, I 37; (3 1 0), 34.9°, d 2.571, I 100; (3 1 4), 38.4°, d 2.344, I 36; (2 0 8), 38.6°, d 2.335, I 52; (3 1 6), 42.4°, d 2.130, I 29; (2 1 9), 43.5°, d 2.080, I 52; (4 1 1), 46.2°, d 1.964, I 48

Structural model:
a b c (Å): 8.1299 8.1299 22.8233
angles (deg): 90.00 90.00 90.00
Space group I4cm (No. 108)
Unique sites:
La  0.0000  0.0000  0.0000
La  0.0000  0.0000  0.2030
La  0.1645  0.3355  0.4219
La  0.1709  0.3291  0.7908
Ga  0.0000  0.0000  0.3525
Ga  0.1215  0.3785  0.1942
Co  0.0000  0.5000  0.1004
Co  0.0662  0.2110  0.1004
Co  0.1130  0.3870  0.0138
Co  0.1738  0.3262  0.6580
Co  0.1784  0.3216  0.5452

---

Entry 4:
LaGa3Co10: calculated X-ray powder pattern (CuKα), based on the PBE geometry in Alexandria.

Main lines, by angle (2θ from 10° to 90°):
(0 2 4), 34.7°, d 2.587, I 60; (2 4 0), 35.4°, d 2.535, I 47; (2 2 4), 38.3°, d 2.352, I 100; (2 4 2), 38.8°, d 2.324, I 87; (4 2 2), 38.9°, d 2.315, I 84; (1 3 5), 46.6°, d 1.951, I 92; (1 5 3), 47.1°, d 1.930, I 48; (5 1 3), 47.3°, d 1.921, I 57; (3 5 1), 47.4°, d 1.917, I 54; (5 3 1), 47.6°, d 1.910, I 63

Structural model:
a b c (Å): 11.2707 11.3517 11.6339
angles (deg): 90.00 90.00 90.00
Space group Fmm2 (No. 42)
Unique sites:
La  0.2500  0.2500  0.0000
Ga  0.0000  0.1799  0.3693
Ga  0.1791  0.0000  0.6217
Ga  0.1796  0.0000  0.8728
Co  0.0000  0.0000  0.2468
Co  0.0000  0.0000  0.7473
Co  0.0000  0.1164  0.9279
Co  0.0000  0.1204  0.5741
Co  0.0000  0.1772  0.1306
Co  0.1091  0.0000  0.0744
Co  0.1123  0.0000  0.4232
Co  0.1195  0.1803  0.7475
Co  0.1806  0.1193  0.2453

---

Entry 5:
La4Ga2Co: calculated X-ray powder pattern (CuKα), based on the PBE geometry in Alexandria.

Main lines, by angle (2θ from 10° to 90°):
(2 0 -2), 28.3°, d 3.155, I 37; (1 2 0), 28.6°, d 3.123, I 100; (2 1 0), 30.7°, d 2.913, I 92; (1 2 1), 32.9°, d 2.719, I 41; (1 2 -2), 33.1°, d 2.703, I 88; (0 2 2), 34.1°, d 2.631, I 51; (0 0 3), 34.7°, d 2.586, I 38; (2 0 -3), 34.9°, d 2.570, I 35; (2 2 -1), 36.0°, d 2.494, I 35; (0 4 0), 51.0°, d 1.790, I 33

Structural model:
a b c (Å): 6.9523 7.1620 8.4548
angles (deg): 90.00 113.44 90.00
Space group P2_1/m (No. 11)
Unique sites:
La  0.1141  0.2500  0.4183
La  0.1322  0.2500  0.8519
La  0.3810  0.5190  0.2154
Ga  0.2942  0.7500  0.5053
Ga  0.3236  0.7500  0.8758
Co  0.0251  0.2500  0.1065

---

Entry 6:
La2Ga2Co: calculated X-ray powder pattern (CuKα), based on the PBE geometry in Alexandria.

Main lines, by angle (2θ from 10° to 90°):
(1 1 2), 31.7°, d 2.823, I 100; (3 1 -1), 31.9°, d 2.807, I 35; (3 1 -2), 32.6°, d 2.748, I 94; (1 1 -3), 32.9°, d 2.725, I 43; (3 1 0), 34.1°, d 2.628, I 39; (2 0 -4), 34.9°, d 2.572, I 36; (4 0 0), 37.3°, d 2.414, I 35; (0 0 4), 39.0°, d 2.311, I 26; (0 2 0), 39.6°, d 2.277, I 66; (3 1 -4), 41.8°, d 2.163, I 33

Structural model:
a b c (Å): 10.7504 4.5532 10.2958
angles (deg): 90.00 116.10 90.00
Space group C2/m (No. 12)
Unique sites:
La  0.0913  0.0000  0.3983
La  0.1661  0.5000  0.1715
Ga  0.0929  0.0000  0.9344
Ga  0.1210  0.5000  0.6367
Co  0.1596  0.5000  0.8954